The following is a simulated PXRD pattern of Rb4B9Se9. It was derived from a PBE-relaxed structure, using CuKα.
Lines closer than 0.1° are merged.

Structure:
Cell: 10.6063 10.7685 11.1427 Å, 91.85 104.15 109.59°
Fractional coordinates of all 44 atoms:
Rb  0.1112  0.3715  0.1309
Rb  0.1413  0.0035  0.3689
Rb  0.2517  0.6293  0.4739
Rb  0.3292  0.3842  0.7453
Rb  0.6708  0.6158  0.2547
Rb  0.7483  0.3707  0.5261
Rb  0.8587  0.9965  0.6311
Rb  0.8888  0.6285  0.8691
B  0.1372  0.8207  0.6871
B  0.1677  0.7610  0.1433
B  0.3390  0.9674  0.0180
B  0.3741  0.8625  0.9148
B  0.3798  0.0236  0.8786
B  0.4229  0.2555  0.2567
B  0.4405  0.8698  0.0794
B  0.4528  0.1338  0.0223
B  0.4901  0.0378  0.1443
B  0.5099  0.9622  0.8557
B  0.5472  0.8662  0.9777
B  0.5595  0.1302  0.9206
B  0.5771  0.7445  0.7433
B  0.6202  0.9764  0.1214
B  0.6259  0.1375  0.0852
B  0.6610  0.0326  0.9820
B  0.8323  0.2390  0.8567
B  0.8628  0.1793  0.3129
Se  0.0185  0.6510  0.2041
Se  0.0206  0.2590  0.4543
Se  0.1515  0.9126  0.0520
Se  0.2181  0.7114  0.7996
Se  0.2257  0.0184  0.7276
Se  0.3441  0.7238  0.1699
Se  0.3982  0.3718  0.3750
Se  0.4053  0.2887  0.0785
Se  0.4735  0.1002  0.3097
Se  0.5265  0.8998  0.6903
Se  0.5947  0.7113  0.9215
Se  0.6018  0.6282  0.6250
Se  0.6559  0.2762  0.8301
Se  0.7743  0.9816  0.2724
Se  0.7819  0.2886  0.2004
Se  0.8485  0.0874  0.9480
Se  0.9794  0.7410  0.5457
Se  0.9815  0.3490  0.7959

Top 12 peaks for 10 to 80 degrees two-theta, most intense first:
- hkl 1 0 3, 3.083 Å, 2θ 28.96, intensity 100
- hkl 0 3 0, 3.355 Å, 2θ 26.57, intensity 52
- hkl 3 -2 0, 3.281 Å, 2θ 27.18, intensity 48
- hkl 0 2 3, 2.755 Å, 2θ 32.50, intensity 43
- hkl 0 1 -3, 3.509 Å, 2θ 25.39, intensity 40
- hkl 2 1 -3, 3.050 Å, 2θ 29.28, intensity 36
- hkl 3 1 0, 2.783 Å, 2θ 32.16, intensity 36
- hkl -1 3 2, 2.937 Å, 2θ 30.44, intensity 35
- hkl -3 1 3, 2.850 Å, 2θ 31.39, intensity 29
- hkl 2 4 2, 1.730 Å, 2θ 52.93, intensity 24
- hkl 1 2 1, 3.460 Å, 2θ 25.75, intensity 22
- hkl 1 -1 3, 3.156 Å, 2θ 28.28, intensity 22